Computed powder XRD pattern of LiHgMoO4 for Cu Kα X-rays, from a cell relaxed with PBE+U.
Lines closer than 0.1° are merged.

The 8 most intense peaks (2θ = 10–80°), low angle first:
h k l  2theta  I (rel.)
0 0 1  11.9  100
1 1 -1  19.5  77
1 1 -2  27.8  38
0 2 0  29.2  33
1 1 2  30.6  37
0 2 1  31.6  30
4 0 0  32.5  21
5 1 -1  43.0  19

Structure:
Unit cell a=11.2514 b=6.1198 c=7.6017 alpha=90.00 beta=101.81 gamma=90.00
Space group C2/m (No. 12)
Unique sites:
Li  0.2123  0.0000  0.3053 (multiplicity 4)
Hg  0.1131  0.5000  0.9894 (multiplicity 4)
Mo  0.1240  0.0000  0.7502 (multiplicity 4)
O  0.0366  0.0000  0.2852 (multiplicity 4)
O  0.1802  0.2398  0.6630 (multiplicity 8)
O  0.1922  0.0000  0.9992 (multiplicity 4)